Entry 1:
CdHPd2: computed XRD peak list (Cu Kα, 1.54184 Å), based on the GGA-PBE geometry in Alexandria.

Atomic structure:
Cell: 2.9810 2.9810 20.5436 Å, 90.00 90.00 120.00°
Space group R3m (No. 160, hexagonal axes)
One atom of each set of equivalent atoms:
Cd (0.0000, 0.0000, 0.0000)
H (0.0000, 0.0000, 0.1727)
Pd (0.0000, 0.0000, 0.5553)
Pd (0.0000, 0.0000, 0.7762)

Peak list (10 most intense, 2θ = 10–80°, low angle first)
hkl 1 0 1, 35.03°, I = 37
hkl 0 1 2, 35.87°, I = 17
hkl 1 0 4, 39.05°, I = 100
hkl 0 0 9, 39.48°, I = 45
hkl 0 1 5, 41.30°, I = 86
hkl 0 1 8, 50.10°, I = 14
hkl 1 1 0, 62.29°, I = 35
hkl 1 0 13, 69.78°, I = 18
hkl 0 1 14, 74.36°, I = 14
hkl 1 1 9, 76.30°, I = 37



Entry 2:
Tb2HoHg6: computed XRD peak list (Cu Kα, 1.54184 Å), based on the GGA-PBE geometry in Alexandria.

Atomic structure:
Cell: 14.394 11.709 5.434 Å, 90.00 100.02 90.00°
Space group C2/c (No. 15)
One atom of each set of equivalent atoms:
Tb (0.167, 0.126, 0.083)
Ho (0.000, 0.375, 0.250)
Hg (0.056, 0.126, 0.529)
Hg (0.110, 0.375, 0.804)
Hg (0.221, 0.375, 0.362)

Peak list (10 most intense, 2θ = 10–80°, low angle first)
hkl 0 4 0, 30.54°, I = 78
hkl 1 1 -2, 33.88°, I = 59
hkl 5 1 -1, 33.99°, I = 59
hkl 4 2 1, 36.16°, I = 100
hkl 1 3 -2, 40.50°, I = 73
hkl 1 5 -2, 51.53°, I = 18
hkl 5 5 -1, 51.60°, I = 19
hkl 4 6 1, 58.00°, I = 26
hkl 6 2 -3, 61.52°, I = 22
hkl 0 8 0, 63.54°, I = 20



Entry 3:
Ac3Pr7Nd: computed XRD peak list (Cu Kα, 1.54184 Å), based on the GGA-PBE geometry in Alexandria.

Atomic structure:
Cell: 6.100 11.889 12.045 Å, 90.00 90.00 90.00°
Space group Immm (No. 71)
One atom of each set of equivalent atoms:
Ac (0.000, 0.000, 0.000)
Ac (0.000, 0.290, 0.500)
Pr (0.000, 0.000, 0.500)
Pr (0.000, 0.205, 0.204)
Pr (0.000, 0.500, 0.286)
Nd (0.000, 0.500, 0.000)

Peak list (10 most intense, 2θ = 10–80°, low angle first)
hkl 1 2 1, 22.12°, I = 37
hkl 2 0 0, 29.28°, I = 68
hkl 0 0 4, 29.67°, I = 37
hkl 0 4 0, 30.07°, I = 32
hkl 1 2 3, 30.61°, I = 100
hkl 1 3 2, 30.73°, I = 95
hkl 2 0 4, 42.17°, I = 29
hkl 2 4 0, 42.47°, I = 25
hkl 3 2 3, 52.80°, I = 43
hkl 1 7 2, 58.45°, I = 23



Entry 4:
LiZrTe: computed XRD peak list (Cu Kα, 1.54184 Å), based on the GGA-PBE geometry in Alexandria.

Atomic structure:
Cell: 4.252 4.252 7.515 Å, 90.00 90.00 90.00°
Space group P4/nmm (No. 129, origin choice 2)
One atom of each set of equivalent atoms:
Li (0.250, 0.250, 0.171)
Zr (0.250, 0.750, 0.500)
Te (0.250, 0.250, 0.787)

Peak list (10 most intense, 2θ = 10–80°, low angle first)
hkl 0 0 1, 11.78°, I = 39
hkl 1 0 1, 24.05°, I = 100
hkl 1 1 1, 32.06°, I = 55
hkl 0 0 3, 35.85°, I = 21
hkl 1 1 2, 38.34°, I = 93
hkl 2 0 0, 42.52°, I = 40
hkl 2 1 1, 49.44°, I = 28
hkl 2 0 3, 56.80°, I = 21
hkl 1 1 5, 69.98°, I = 16
hkl 3 1 2, 75.03°, I = 25